Entry 1:
Simulated PXRD pattern of CsOs2O6 for λ = 1.5418 Å (Cu Kα), from a structure optimized by DFT (GGA-PBE).
No peak broadening, texture or thermal motion is included.

Top 8 peaks for 2θ = 10–90°, low angle first:
Position (°2θ)  I (rel.)
14.93  30
28.80  100
30.11  52
45.87  34
50.20  39
58.91  15
59.66  23
70.34  24

Structural model:
abc: 7.269 7.269 7.269
angles: 60.00 60.00 60.00
Positions (direct):
Cs  0.125  0.125  0.125
Cs  0.875  0.875  0.875
Os  0.000  0.500  0.500
Os  0.500  0.000  0.500
Os  0.500  0.500  0.000
Os  0.500  0.500  0.500
O  0.186  0.186  0.564
O  0.186  0.564  0.186
O  0.186  0.564  0.564
O  0.436  0.436  0.814
O  0.436  0.814  0.436
O  0.436  0.814  0.814
O  0.564  0.186  0.186
O  0.564  0.186  0.564
O  0.564  0.564  0.186
O  0.814  0.436  0.436
O  0.814  0.436  0.814
O  0.814  0.814  0.436


Entry 2:
Simulated PXRD pattern of CsPO3 for λ = 1.5418 Å (Cu Kα), from a structure optimized by DFT (GGA-PBE).
No peak broadening, texture or thermal motion is included.

Top 8 peaks for 2θ = 10–90°, low angle first:
Position (°2θ)  I (rel.)
23.60  68
24.44  100
25.74  24
27.30  29
36.08  39
38.97  20
40.40  26
46.07  33

Structural model:
abc: 4.624 6.533 13.845
angles: 90.00 90.00 90.00
Positions (direct):
Cs  0.233  0.250  0.097
Cs  0.267  0.750  0.597
Cs  0.733  0.250  0.403
Cs  0.767  0.750  0.903
P  0.191  0.750  0.321
P  0.309  0.250  0.821
P  0.691  0.750  0.179
P  0.809  0.250  0.679
O  0.143  0.250  0.718
O  0.239  0.553  0.374
O  0.239  0.947  0.374
O  0.261  0.053  0.874
O  0.261  0.447  0.874
O  0.357  0.750  0.218
O  0.643  0.250  0.782
O  0.739  0.553  0.126
O  0.739  0.947  0.126
O  0.761  0.053  0.626
O  0.761  0.447  0.626
O  0.857  0.750  0.282


Entry 3:
Simulated PXRD pattern of Cs3PO4 for λ = 1.5418 Å (Cu Kα), from a structure optimized by DFT (GGA-PBE).
No peak broadening, texture or thermal motion is included.

Top 8 peaks for 2θ = 10–90°, low angle first:
Position (°2θ)  I (rel.)
27.28  15
27.94  100
28.22  18
28.70  19
31.86  15
34.97  21
39.86  14
50.33  15

Structural model:
abc: 12.441 9.047 6.539
angles: 90.00 90.00 90.00
Positions (direct):
Cs  0.077  0.250  0.143
Cs  0.145  0.008  0.683
Cs  0.145  0.492  0.683
Cs  0.355  0.508  0.183
Cs  0.355  0.992  0.183
Cs  0.423  0.750  0.643
Cs  0.577  0.250  0.357
Cs  0.645  0.008  0.817
Cs  0.645  0.492  0.817
Cs  0.855  0.508  0.317
Cs  0.855  0.992  0.317
Cs  0.923  0.750  0.857
P  0.114  0.750  0.269
P  0.386  0.250  0.769
P  0.614  0.750  0.231
P  0.886  0.250  0.731
O  0.018  0.750  0.426
O  0.108  0.608  0.133
O  0.108  0.892  0.133
O  0.223  0.750  0.393
O  0.277  0.250  0.893
O  0.392  0.108  0.633
O  0.392  0.392  0.633
O  0.482  0.250  0.926
O  0.518  0.750  0.074
O  0.608  0.608  0.367
O  0.608  0.892  0.367
O  0.723  0.750  0.107
O  0.777  0.250  0.607
O  0.892  0.108  0.867
O  0.892  0.392  0.867
O  0.982  0.250  0.574


Entry 4:
Simulated PXRD pattern of CsPO3 for λ = 1.5418 Å (Cu Kα), from a structure optimized by DFT (GGA-PBE).
No peak broadening, texture or thermal motion is included.

Top 8 peaks for 2θ = 10–90°, low angle first:
Position (°2θ)  I (rel.)
23.46  61
24.56  70
24.68  61
25.43  97
25.76  94
27.20  100
28.37  59
34.96  43

Structural model:
abc: 6.944 4.392 14.085
angles: 90.00 114.34 90.00
Positions (direct):
Cs  0.185  0.135  0.408
Cs  0.185  0.365  0.908
Cs  0.815  0.635  0.092
Cs  0.815  0.865  0.592
P  0.368  0.510  0.683
P  0.368  0.990  0.183
P  0.632  0.010  0.817
P  0.632  0.490  0.317
O  0.167  0.126  0.180
O  0.167  0.374  0.680
O  0.372  0.653  0.587
O  0.372  0.847  0.087
O  0.444  0.745  0.279
O  0.444  0.755  0.779
O  0.556  0.245  0.221
O  0.556  0.255  0.721
O  0.628  0.153  0.913
O  0.628  0.347  0.413
O  0.833  0.626  0.320
O  0.833  0.874  0.820


Entry 5:
Simulated PXRD pattern of Cs2P4Pd3O14 for λ = 1.5418 Å (Cu Kα), from a structure optimized by DFT (GGA-PBE).
No peak broadening, texture or thermal motion is included.

Top 8 peaks for 2θ = 10–90°, low angle first:
Position (°2θ)  I (rel.)
22.36  100
22.97  16
27.64  14
28.29  24
28.78  23
33.25  14
33.68  18
39.98  14

Structural model:
abc: 8.294 8.294 14.636
angles: 90.00 90.00 124.34
Positions (direct):
Cs  0.067  0.933  0.500
Cs  0.218  0.782  0.765
Cs  0.782  0.218  0.265
Cs  0.933  0.067  0.000
P  0.032  0.598  0.039
P  0.303  0.328  0.795
P  0.328  0.303  0.295
P  0.402  0.968  0.039
P  0.598  0.032  0.539
P  0.672  0.697  0.795
P  0.697  0.672  0.295
P  0.968  0.402  0.539
Pd  0.111  0.889  0.194
Pd  0.374  0.626  0.156
Pd  0.379  0.621  0.428
Pd  0.621  0.379  0.928
Pd  0.626  0.374  0.656
Pd  0.889  0.111  0.694
O  0.057  0.318  0.599
O  0.091  0.268  0.793
O  0.105  0.538  0.464
O  0.109  0.494  0.092
O  0.219  0.781  0.984
O  0.248  0.357  0.215
O  0.268  0.091  0.293
O  0.277  0.342  0.391
O  0.319  0.057  0.099
O  0.342  0.277  0.891
O  0.357  0.248  0.715
O  0.434  0.566  0.787
O  0.462  0.895  0.464
O  0.494  0.109  0.592
O  0.506  0.891  0.092
O  0.538  0.105  0.964
O  0.566  0.434  0.287
O  0.643  0.752  0.215
O  0.658  0.723  0.391
O  0.681  0.943  0.599
O  0.723  0.658  0.891
O  0.732  0.909  0.793
O  0.752  0.643  0.715
O  0.781  0.219  0.484
O  0.891  0.506  0.592
O  0.895  0.462  0.964
O  0.909  0.732  0.293
O  0.943  0.682  0.099